This entry pairs a crystal structure of Na5InO4 with its simulated X-ray diffraction stick pattern. Radiation: Cu Kα (weighted mean of Kα1 and Kα2). Structure: DFT lattice parameters and positions (PBE).
Kinematic intensities with the Lorentz-polarization factor, no thermal factor.

Unit cell a=7.465 b=7.706 c=5.534 alpha=90.00 beta=90.00 gamma=90.00
Space group Pmmn (No. 59, origin choice 2)
Symmetry-distinct sites (fractional):
Na1 0.010 0.056 0.245 [8 per cell]
Na2 0.250 0.750 0.304 [2 per cell]
In1 0.250 0.250 0.722 [2 per cell]
O1 0.012 0.250 0.922 [4 per cell]
O2 0.250 0.017 0.518 [4 per cell]

Top 8 peaks for 2θ from 10° to 90°, by angle:
(1 1 0), 2θ 16.5, intensity 97
(0 1 1), 2θ 19.7, intensity 94
(1 0 1), 2θ 20.0, intensity 50
(1 2 1), 2θ 30.7, intensity 38
(2 1 1), 2θ 31.1, intensity 100
(2 2 0), 2θ 33.4, intensity 38
(0 3 1), 2θ 38.6, intensity 64
(2 2 2), 2θ 47.2, intensity 91